Calculated powder X-ray diffraction pattern
Compound: Nd6Mg5Sc
Radiation: Cu Ka
Structure: DFT lattice parameters and positions (GGA-PBE)
Peak positions follow from Bragg's law for the DFT cell and can differ from measured ones.

Main lines, low angle first (2θ from 10° to 90°):
| 2θ (°) | intensity |
| --- | --- |
| 22.84 | 80 |
| 32.52 | 100 |
| 32.56 | 50 |
| 40.12 | 25 |
| 46.61 | 18 |
| 52.48 | 12 |
| 52.56 | 12 |
| 52.67 | 11 |
| 57.95 | 19 |
| 58.06 | 28 |
| 58.14 | 9 |
| 68.17 | 14 |

Atomic structure:
```
Nd6Mg5Sc
1.0
5.505 0.000 0.000
0.000 7.766 0.000
-2.747 0.000 8.278
Nd Mg Sc
6 5 1
Direct
0.000 0.247 0.000
0.000 0.753 0.000
0.335 0.251 0.667
0.335 0.749 0.667
0.665 0.251 0.333
0.665 0.749 0.333
0.162 0.500 0.328
0.166 0.000 0.336
0.500 0.000 0.000
0.834 0.000 0.664
0.838 0.500 0.672
0.500 0.500 0.000
```

Calculated powder X-ray diffraction pattern
Compound: Nd2Mg8Sc
Radiation: Cu Ka
Structure: DFT lattice parameters and positions (GGA-PBE)
Peak positions follow from Bragg's law for the DFT cell and can differ from measured ones.

Main lines, low angle first (2θ from 10° to 90°):
| 2θ (°) | intensity |
| --- | --- |
| 11.55 | 37 |
| 19.71 | 17 |
| 21.58 | 29 |
| 25.48 | 18 |
| 30.53 | 11 |
| 33.39 | 100 |
| 35.55 | 23 |
| 39.36 | 14 |
| 41.16 | 13 |
| 54.06 | 18 |
| 62.48 | 16 |
| 70.09 | 12 |

Atomic structure:
```
Nd2Mg8Sc
1.0
8.020 -2.525 0.000
8.020 2.525 0.000
-2.127 0.000 6.887
Nd Mg Sc
2 8 1
Direct
0.221 0.221 0.151
0.779 0.779 0.849
0.022 0.022 0.222
0.140 0.140 0.637
0.333 0.333 0.616
0.415 0.415 0.053
0.585 0.585 0.947
0.667 0.667 0.384
0.860 0.860 0.363
0.978 0.978 0.778
0.500 0.500 0.500
```

Calculated powder X-ray diffraction pattern
Compound: NdMg4Sc
Radiation: Cu Ka
Structure: DFT lattice parameters and positions (GGA-PBE)
Peak positions follow from Bragg's law for the DFT cell and can differ from measured ones.

Main lines, low angle first (2θ from 10° to 90°):
| 2θ (°) | intensity |
| --- | --- |
| 13.56 | 30 |
| 19.76 | 91 |
| 24.03 | 51 |
| 33.88 | 71 |
| 34.00 | 71 |
| 34.57 | 100 |
| 49.14 | 24 |
| 49.31 | 24 |
| 61.42 | 16 |
| 61.54 | 16 |
| 61.67 | 16 |
| 61.95 | 18 |

Atomic structure:
```
NdMg4Sc
1.0
4.494 -2.595 0.000
4.494 2.595 0.000
-0.034 0.000 6.530
Nd Mg Sc
1 4 1
Direct
0.000 0.000 0.000
0.333 0.333 0.741
0.334 0.334 0.260
0.666 0.666 0.740
0.667 0.667 0.259
0.000 0.000 0.500
```

Calculated powder X-ray diffraction pattern
Compound: Nd4MgSe7
Radiation: Cu Ka
Structure: DFT lattice parameters and positions (GGA-PBE)
Peak positions follow from Bragg's law for the DFT cell and can differ from measured ones.

Main lines, low angle first (2θ from 10° to 90°):
| 2θ (°) | intensity |
| --- | --- |
| 22.84 | 95 |
| 29.34 | 35 |
| 29.46 | 100 |
| 29.93 | 74 |
| 30.92 | 77 |
| 32.24 | 78 |
| 34.08 | 41 |
| 36.40 | 28 |
| 39.48 | 55 |
| 43.48 | 29 |
| 44.06 | 74 |
| 44.53 | 39 |

Atomic structure:
```
Nd4MgSe7
1.0
6.765 -2.055 0.000
6.765 2.055 0.000
-3.331 0.000 11.902
Nd Mg Se
4 1 7
Direct
0.000 0.000 0.000
0.186 0.186 0.760
0.570 0.570 0.349
0.877 0.877 0.557
0.769 0.769 0.141
0.159 0.159 0.213
0.214 0.214 0.511
0.390 0.390 0.086
0.540 0.540 0.615
0.632 0.632 0.927
0.845 0.845 0.781
0.913 0.913 0.338
```

Calculated powder X-ray diffraction pattern
Compound: NdMg2Si2
Radiation: Cu Ka
Structure: DFT lattice parameters and positions (GGA-PBE)
Peak positions follow from Bragg's law for the DFT cell and can differ from measured ones.

Main lines, low angle first (2θ from 10° to 90°):
| 2θ (°) | intensity |
| --- | --- |
| 16.09 | 59 |
| 20.17 | 51 |
| 22.40 | 65 |
| 28.62 | 63 |
| 31.94 | 100 |
| 32.20 | 86 |
| 32.80 | 34 |
| 34.03 | 67 |
| 39.27 | 43 |
| 42.50 | 39 |
| 46.43 | 49 |
| 49.48 | 37 |

Atomic structure:
```
NdMg2Si2
1.0
4.613 0.000 0.000
0.000 4.254 0.000
-1.167 0.000 11.017
Nd Mg Si
2 4 4
Direct
0.181 0.250 0.244
0.819 0.750 0.756
0.249 0.750 0.498
0.348 0.250 0.885
0.652 0.750 0.115
0.751 0.250 0.502
0.131 0.750 0.012
0.286 0.250 0.649
0.714 0.750 0.351
0.869 0.250 0.988
```

Calculated powder X-ray diffraction pattern
Compound: NdMgSi2
Radiation: Cu Ka
Structure: DFT lattice parameters and positions (GGA-PBE)
Peak positions follow from Bragg's law for the DFT cell and can differ from measured ones.

Main lines, low angle first (2θ from 10° to 90°):
| 2θ (°) | intensity |
| --- | --- |
| 13.72 | 60 |
| 19.85 | 39 |
| 23.54 | 62 |
| 24.52 | 44 |
| 27.23 | 45 |
| 30.61 | 100 |
| 32.10 | 100 |
| 33.37 | 54 |
| 35.98 | 85 |
| 37.37 | 32 |
| 46.96 | 43 |
| 68.21 | 31 |

Atomic structure:
```
NdMgSi2
1.0
8.073 0.000 0.000
0.000 3.857 0.000
0.000 0.000 10.749
Nd Mg Si
4 4 8
Direct
0.127 0.250 0.143
0.373 0.750 0.643
0.627 0.250 0.357
0.873 0.750 0.857
0.000 0.250 0.610
0.000 0.750 0.390
0.500 0.250 0.890
0.500 0.750 0.110
0.170 0.250 0.820
0.246 0.250 0.440
0.254 0.750 0.940
0.330 0.750 0.320
0.670 0.250 0.680
0.746 0.250 0.060
0.754 0.750 0.560
0.830 0.750 0.180
```

Calculated powder X-ray diffraction pattern
Compound: Nd8Sm5Mg
Radiation: Cu Ka
Structure: DFT lattice parameters and positions (GGA-PBE)
Peak positions follow from Bragg's law for the DFT cell and can differ from measured ones.

Main lines, low angle first (2θ from 10° to 90°):
| 2θ (°) | intensity |
| --- | --- |
| 12.31 | 26 |
| 24.96 | 36 |
| 27.47 | 22 |
| 29.98 | 20 |
| 30.32 | 28 |
| 30.68 | 69 |
| 30.90 | 53 |
| 31.53 | 48 |
| 31.69 | 85 |
| 31.84 | 100 |
| 33.66 | 23 |
| 59.24 | 21 |

Atomic structure:
```
Nd8Sm5Mg
1.0
7.389 -4.571 0.000
7.389 4.571 0.000
-5.684 0.000 7.265
Nd Sm Mg
8 5 1
Direct
0.000 0.469 0.346
0.075 0.075 0.428
0.217 0.312 0.953
0.469 0.190 0.356
0.531 0.000 0.654
0.688 0.783 0.047
0.810 0.531 0.644
0.925 0.925 0.572
0.088 0.912 0.000
0.335 0.490 0.757
0.510 0.665 0.243
0.692 0.203 0.122
0.797 0.308 0.878
0.336 0.664 0.500
```

Calculated powder X-ray diffraction pattern
Compound: Nd7SmMg4
Radiation: Cu Ka
Structure: DFT lattice parameters and positions (GGA-PBE)
Peak positions follow from Bragg's law for the DFT cell and can differ from measured ones.

Main lines, low angle first (2θ from 10° to 90°):
| 2θ (°) | intensity |
| --- | --- |
| 16.48 | 39 |
| 23.24 | 51 |
| 26.98 | 25 |
| 29.06 | 59 |
| 29.55 | 66 |
| 30.36 | 100 |
| 30.50 | 61 |
| 31.33 | 77 |
| 33.44 | 78 |
| 38.58 | 28 |
| 42.53 | 43 |
| 43.57 | 46 |

Atomic structure:
```
Nd7SmMg4
1.0
7.741 -2.944 0.000
7.741 2.944 0.000
-5.146 0.000 8.439
Nd Sm Mg
7 1 4
Direct
0.000 0.000 0.000
0.246 0.246 0.711
0.302 0.302 0.122
0.419 0.419 0.574
0.581 0.581 0.426
0.698 0.698 0.878
0.754 0.754 0.289
0.500 0.500 0.000
0.038 0.038 0.695
0.175 0.175 0.345
0.825 0.825 0.655
0.962 0.962 0.305
```